Structure and simulated powder diffractogram of PaInBr6 (a DFT-relaxed cell (GGA-PBE, Alexandria); Cu Kα).
Peak positions follow from Bragg's law for the DFT cell and can differ from measured ones.

Structure:
a = 7.3916 Å, b = 7.3916 Å, c = 7.4779 Å
α = 98.07°, β = 98.07°, γ = 116.74°
Element x y z (fractional)
Pa1 0.0000 0.0000 0.0000
In1 0.5000 0.5000 0.5000
Br1 0.0525 0.3549 0.2212
Br2 0.2299 0.2299 0.7822
Br3 0.3549 0.0525 0.2212
Br4 0.6451 0.9475 0.7788
Br5 0.7701 0.7701 0.2178
Br6 0.9475 0.6451 0.7788

Principal peaks in the range 15 to 90 degrees two-theta, low angle first:
16.23 deg, intensity 89; 20.53 deg, intensity 41; 28.78 deg, intensity 100; 29.48 deg, intensity 48; 39.12 deg, intensity 17; 41.12 deg, intensity 32; 42.22 deg, intensity 38; 43.13 deg, intensity 22; 50.69 deg, intensity 16; 53.11 deg, intensity 24